Entry 1:
The following is a computed X-ray powder pattern of MgMn6O8F4. It was derived from a structure optimized by DFT (GGA+U), using Cu Kα (weighted mean of Kα1 and Kα2).
No peak broadening, texture or thermal motion is included.

Structural model:
```
data_MgMn6O8F4
_chemical_formula_sum 'Mg1 Mn6 O8 F4'
_cell_length_a 5.2040
_cell_length_b 5.2169
_cell_length_c 8.8788
_cell_angle_alpha 91.65
_cell_angle_beta 90.95
_cell_angle_gamma 90.82
_space_group_name_H-M_alt 'P 1'
_space_group_IT_number 1
_space_group_name_Hall 'P 1'
loop_
_atom_site_label
_atom_site_fract_x
_atom_site_fract_y
_atom_site_fract_z
_atom_site_occupancy
Mg1 0.0000 0.0000 0.0000 1
Mn1 0.0009 0.4812 0.6921 1
Mn2 0.0048 0.4685 0.3517 1
Mn3 0.0146 0.4895 0.0089 1
Mn4 0.4864 0.0566 0.8360 1
Mn5 0.5141 0.0891 0.1907 1
Mn6 0.5184 0.0919 0.5093 1
O1 0.1245 0.7159 0.8582 1
O2 0.3240 0.2126 0.0101 1
O3 0.3290 0.2322 0.6800 1
O4 0.3315 0.2567 0.3523 1
O5 0.6358 0.8914 0.3472 1
O6 0.8125 0.3229 0.5255 1
O7 0.8503 0.2797 0.8534 1
O8 0.8633 0.2823 0.1593 1
F1 0.1208 0.7505 0.1637 1
F2 0.1361 0.6974 0.5319 1
F3 0.6419 0.8526 0.6744 1
F4 0.6521 0.8428 0.0066 1
```

Top 10 peaks for 10 to 90 degrees two-theta, sorted by position:
two_theta	intensity	index
17.01	26	0 1 0
23.98	100	1 -1 0
24.35	98	1 1 0
34.45	52	2 0 0
34.63	19	1 0 -3
35.32	18	0 1 3
38.81	19	1 -1 3
49.13	42	1 -2 3
50.82	23	1 2 3
62.82	18	0 0 6

Entry 2:
The following is a computed X-ray powder pattern of LiMn2Fe2P4O16. It was derived from a structure optimized by DFT (GGA+U), using Cu Kα (weighted mean of Kα1 and Kα2).
No peak broadening, texture or thermal motion is included.

Structural model:
```
data_LiMn2Fe2P4O16
_chemical_formula_sum 'Li1 Mn2 Fe2 P4 O16'
_cell_length_a 4.9407
_cell_length_b 5.9136
_cell_length_c 10.1870
_cell_angle_alpha 89.96
_cell_angle_beta 89.98
_cell_angle_gamma 89.97
_space_group_name_H-M_alt 'P 1'
_space_group_IT_number 1
_space_group_name_Hall 'P 1'
loop_
_atom_site_label
_atom_site_fract_x
_atom_site_fract_y
_atom_site_fract_z
_atom_site_occupancy
Li1 0.0000 0.0000 0.0000 1
Mn1 0.1306 0.4990 0.2337 1
Mn2 0.5885 0.9993 0.1831 1
Fe1 0.0373 0.9999 0.6691 1
Fe2 0.5396 0.4999 0.7204 1
P1 0.1526 0.0000 0.3595 1
P2 0.4814 0.9999 0.8455 1
P3 0.6718 0.4997 0.0426 1
P4 0.9894 0.4999 0.5470 1
O1 0.2284 0.0007 0.5061 1
O2 0.2946 0.5000 0.5708 1
O3 0.3016 0.2002 0.2851 1
O4 0.3020 0.8004 0.2863 1
O5 0.3433 0.2016 0.7693 1
O6 0.3433 0.7984 0.7692 1
O7 0.3692 0.5005 0.0757 1
O8 0.3944 0.9997 0.9889 1
O9 0.7090 0.5001 0.8919 1
O10 0.7928 0.9998 0.8310 1
O11 0.8198 0.2877 0.1034 1
O12 0.8207 0.7110 0.1038 1
O13 0.8444 0.2977 0.6222 1
O14 0.8444 0.7023 0.6220 1
O15 0.8519 0.0004 0.3392 1
O16 0.9197 0.4997 0.4015 1
```

Top 10 peaks for 10 to 90 degrees two-theta, sorted by position:
two_theta	intensity	index
17.41	62	0 0 2
19.97	90	1 0 1
23.05	23	0 1 2
25.07	97	1 1 -1
30.23	72	0 2 0
35.49	100	1 1 -3
36.50	28	1 2 1
47.99	21	2 2 0
51.43	24	2 2 -2
57.16	23	1 3 -3

Entry 3:
The following is a computed X-ray powder pattern of Li5VF8. It was derived from a structure optimized by DFT (GGA+U), using Cu Kα (weighted mean of Kα1 and Kα2).
No peak broadening, texture or thermal motion is included.

Structural model:
```
data_Li5VF8
_chemical_formula_sum 'Li10 V2 F16'
_cell_length_a 5.7861
_cell_length_b 5.9256
_cell_length_c 8.6542
_cell_angle_alpha 90.00
_cell_angle_beta 90.00
_cell_angle_gamma 90.00
_space_group_name_H-M_alt 'I m m m'
_space_group_IT_number 71
_space_group_name_Hall '-I 2 2'
loop_
_atom_site_label
_atom_site_fract_x
_atom_site_fract_y
_atom_site_fract_z
_atom_site_occupancy
Li1 0.0000 0.0000 0.0000 1
Li2 0.2500 0.2500 0.2500 1
V1 0.0000 0.5000 0.0000 1
F1 0.0000 0.0000 0.2291 1
F2 0.0000 0.5000 0.2339 1
F3 0.2292 0.2616 0.0000 1
```

Top 10 peaks for 10 to 90 degrees two-theta, sorted by position:
two_theta	intensity	index
18.14	45	0 1 1
18.45	100	1 0 1
21.46	25	1 1 0
29.87	21	1 1 2
35.59	18	1 2 1
36.76	17	0 2 2
41.75	47	0 0 4
43.73	84	2 2 0
62.05	45	2 2 4
64.40	16	4 0 0